No. 1
Computed X-ray diffraction stick pattern of Hf3ZrSi2 for CuKα, from a GGA-PBE-relaxed structure.

Lattice parameters (Å, degrees): 5.214 9.340 9.297 90.00 90.00 90.00
Space group Fmm2 (No. 42)
One atom of each set of equivalent atoms:
Hf 0.000 0.000 0.000
Hf 0.000 0.158 0.657
Zr 0.000 0.000 0.314
Si 0.250 0.250 0.407

Largest 10 diffraction maxima, in order of rising 2θ, 2θ from 15° to 90°:
d (Å)  2θ/deg  I (rel.)  hkl
4.651  19.1  20  0 0 2
3.295  27.1  16  0 2 2
2.607  34.4  33  2 0 0
2.569  34.9  100  1 3 1
2.562  35.0  83  1 1 3
2.274  39.6  19  2 0 2
2.087  43.4  18  0 4 2
2.081  43.5  16  0 2 4
2.044  44.3  20  2 2 2
1.497  62.0  35  3 3 1

---

No. 2
Computed X-ray diffraction stick pattern of HfZrSi for CuKα, from a GGA-PBE-relaxed structure.

Lattice parameters (Å, degrees): 5.242 6.607 6.606 90.00 90.00 90.00
Space group Ima2 (No. 46)
One atom of each set of equivalent atoms:
Hf 0.250 0.157 0.000
Zr 0.250 0.658 0.815
Si 0.000 0.000 0.658

Largest 10 diffraction maxima, in order of rising 2θ, 2θ from 15° to 90°:
d (Å)  2θ/deg  I (rel.)  hkl
4.671  19.0  10  0 1 1
2.621  34.2  17  2 0 0
2.574  34.9  100  1 2 1
2.286  39.4  11  2 1 1
2.089  43.3  20  0 3 1
2.053  44.1  13  2 0 2
1.532  60.4  13  1 1 4
1.504  61.7  19  3 2 1
1.339  70.3  12  2 3 3
1.195  80.4  12  1 5 2

---

No. 3
Computed X-ray diffraction stick pattern of HfZn2Sn2 for CuKα, from a GGA-PBE-relaxed structure.

Lattice parameters (Å, degrees): 3.857 3.857 13.964 90.00 90.00 90.00
Space group I4/mmm (No. 139)
One atom of each set of equivalent atoms:
Hf 0.000 0.000 0.000
Zn 0.000 0.500 0.250
Sn 0.000 0.000 0.394

Largest 10 diffraction maxima, in order of rising 2θ, 2θ from 15° to 90°:
d (Å)  2θ/deg  I (rel.)  hkl
2.970  30.1  81  1 0 3
2.727  32.8  32  1 1 0
2.541  35.3  100  1 1 2
2.262  39.9  87  1 0 5
1.929  47.1  50  2 0 0
1.617  56.9  28  2 1 3
1.468  63.4  46  2 1 5
1.294  73.1  18  2 0 8
1.243  76.7  22  1 1 10
1.202  79.8  19  3 1 2

---

No. 4
Computed X-ray diffraction stick pattern of Sr3HfZn2 for CuKα, from a GGA-PBE-relaxed structure.

Lattice parameters (Å, degrees): 3.684 3.684 13.462 90.00 90.00 90.00
Space group P4mm (No. 99)
One atom of each set of equivalent atoms:
Sr 0.000 0.000 0.000
Sr 0.000 0.000 0.299
Sr 0.500 0.500 0.748
Hf 0.500 0.500 0.496
Zn 0.000 0.000 0.582
Zn 0.500 0.500 0.145

Largest 10 diffraction maxima, in order of rising 2θ, 2θ from 15° to 90°:
d (Å)  2θ/deg  I (rel.)  hkl
3.553  25.1  18  1 0 1
3.366  26.5  15  0 0 4
2.847  31.4  100  1 0 3
2.605  34.4  60  1 1 0
2.485  36.1  17  1 0 4
2.174  41.5  15  1 0 5
2.060  44.0  16  1 1 4
1.842  49.5  21  2 0 0
1.705  53.8  11  1 0 7
1.547  59.8  35  2 1 3

---

No. 5
Computed X-ray diffraction stick pattern of Hf3Te4 for CuKα, from a GGA-PBE-relaxed structure.

Lattice parameters (Å, degrees): 10.9652 10.9652 3.9161 90.00 90.00 120.00
Space group P6_3/m (No. 176)
One atom of each set of equivalent atoms:
Hf 0.1221 0.4912 0.2500
Te 0.0553 0.7145 0.2500
Te 0.3333 0.6667 0.7500

Largest 10 diffraction maxima, in order of rising 2θ, 2θ from 15° to 90°:
d (Å)  2θ/deg  I (rel.)  hkl
3.620  24.6  23  1 0 1
3.021  29.6  28  2 0 1
2.646  33.9  100  2 1 1
2.634  34.0  55  3 1 0
2.246  40.2  55  2 2 1
2.072  43.7  17  1 4 0
1.958  46.4  20  0 0 2
1.904  47.8  24  3 2 1
1.571  58.8  23  3 1 2
1.282  73.9  25  3 5 1

---

No. 6
Computed X-ray diffraction stick pattern of Hf3Te for CuKα, from a GGA-PBE-relaxed structure.

Lattice parameters (Å, degrees): 11.223 11.223 5.616 90.00 90.00 90.00
Space group I-4 (No. 82)
One atom of each set of equivalent atoms:
Hf 0.018 0.356 0.023
Hf 0.083 0.897 0.206
Hf 0.188 0.783 0.764
Te 0.031 0.288 0.523

Largest 10 diffraction maxima, in order of rising 2θ, 2θ from 15° to 90°:
d (Å)  2θ/deg  I (rel.)  hkl
2.722  32.9  87  2 3 1
2.646  33.9  85  3 3 0
2.510  35.8  54  2 4 0
2.449  36.7  100  4 1 1
2.292  39.3  41  2 2 2
2.201  41.0  49  5 1 0
1.604  57.5  18  2 3 3
1.587  58.1  22  5 5 0
1.392  67.2  17  6 5 1
1.382  67.8  20  5 5 2